# 1
For ZnNiF6, a crystal structure in the Materials Project, relaxed with PBE+U gives the theoretical X-ray diffraction stick pattern in this record (Cu Ka).
No peak broadening, texture or thermal motion is included.

Largest 6 diffraction maxima, in order of rising 2θ, 2θ = 15–90°:
24.08°, intensity 100; 33.81°, intensity 20; 40.58°, intensity 12; 49.31°, intensity 19; 54.91°, intensity 26; 56.28°, intensity 14

Cell and atoms:
Cell lengths 5.1544, 5.1544, 13.1824 Å; angles 90.00, 90.00, 120.00 degrees
Space group R-3 (No. 148, hexagonal axes)
Unique sites:
Zn (0.0000, 0.0000, 0.0000) x3
Ni (0.0000, 0.0000, 0.5000) x3
F (0.0216, 0.6093, 0.2456) x18

---

# 2
For Li9Mn2Co5O16, a crystal structure in the Materials Project, relaxed with PBE+U gives the theoretical X-ray diffraction stick pattern in this record (Cu Ka).
No peak broadening, texture or thermal motion is included.

Largest 6 diffraction maxima, in order of rising 2θ, 2θ = 15–90°:
18.26°, intensity 100; 36.08°, intensity 26; 43.17°, intensity 28; 43.69°, intensity 54; 62.67°, intensity 15; 63.54°, intensity 14

Cell and atoms:
Cell lengths 5.888, 5.832, 8.384 Å; angles 90.00, 91.01, 90.00 degrees
Space group P2/m (No. 10)
Unique sites:
Li (0.000, 0.000, 0.000) x1
Li (0.000, 0.000, 0.500) x1
Li (0.000, 0.500, 0.000) x1
Li (0.250, 0.244, 0.258) x4
Li (0.500, 0.000, 0.500) x1
Li (0.500, 0.500, 0.500) x1
Mn (0.000, 0.500, 0.500) x1
Mn (0.500, 0.500, 0.000) x1
Co (0.244, 0.243, 0.742) x4
Co (0.500, 0.000, 0.000) x1
O (0.002, 0.500, 0.733) x2
O (0.025, 0.000, 0.760) x2
O (0.237, 0.267, 0.508) x4
O (0.273, 0.259, 0.998) x4
O (0.476, 0.500, 0.768) x2
O (0.491, 0.000, 0.754) x2

---

# 3
For K2Na2Mo3WO12, a crystal structure in the Materials Project, relaxed with PBE+U gives the theoretical X-ray diffraction stick pattern in this record (Cu Ka).
No peak broadening, texture or thermal motion is included.

Largest 6 diffraction maxima, in order of rising 2θ, 2θ = 15–90°:
22.16°, intensity 74; 22.47°, intensity 35; 31.54°, intensity 51; 31.77°, intensity 100; 45.21°, intensity 39; 56.31°, intensity 39

Cell and atoms:
Cell lengths 8.023, 8.023, 7.913 Å; angles 90.00, 90.00, 90.00 degrees
Space group P4/mmm (No. 123)
Unique sites:
K (0.248, 0.248, 0.000) x4
Na (0.248, 0.248, 0.500) x4
Mo (0.000, 0.000, 0.253) x2
Mo (0.000, 0.500, 0.252) x4
W (0.500, 0.500, 0.253) x2
O (0.000, 0.000, 0.000) x1
O (0.000, 0.000, 0.500) x1
O (0.000, 0.244, 0.255) x8
O (0.000, 0.500, 0.000) x2
O (0.000, 0.500, 0.500) x2
O (0.259, 0.500, 0.255) x8
O (0.500, 0.500, 0.000) x1
O (0.500, 0.500, 0.500) x1

---

# 4
For Li9Mn2Co5O16, a crystal structure in the Materials Project, relaxed with PBE+U gives the theoretical X-ray diffraction stick pattern in this record (Cu Ka).
No peak broadening, texture or thermal motion is included.

Largest 6 diffraction maxima, in order of rising 2θ, 2θ = 15–90°:
18.17°, intensity 100; 35.90°, intensity 39; 43.30°, intensity 55; 43.53°, intensity 26; 62.74°, intensity 14; 63.40°, intensity 14

Cell and atoms:
Cell lengths 21.367, 2.926, 10.175 Å; angles 90.00, 113.95, 90.00 degrees
Space group C2/m (No. 12)
Unique sites:
Li (0.000, 0.000, 0.000) x2
Li (0.114, 0.500, 0.182) x4
Li (0.116, 0.000, 0.931) x4
Li (0.119, 0.500, 0.676) x4
Li (0.120, 0.000, 0.427) x4
Mn (0.250, 0.000, 0.873) x4
Co (0.000, 0.000, 0.500) x2
Co (0.003, 0.500, 0.767) x4
Co (0.249, 0.000, 0.379) x4
O (0.055, 0.500, 0.462) x4
O (0.057, 0.000, 0.220) x4
O (0.058, 0.000, 0.712) x4
O (0.061, 0.500, 0.954) x4
O (0.190, 0.500, 0.408) x4
O (0.195, 0.000, 0.147) x4
O (0.195, 0.000, 0.674) x4
O (0.198, 0.500, 0.913) x4

---

# 5
For Cr3As4O16, a crystal structure in the Materials Project, relaxed with PBE+U gives the theoretical X-ray diffraction stick pattern in this record (Cu Ka).
No peak broadening, texture or thermal motion is included.

Largest 6 diffraction maxima, in order of rising 2θ, 2θ = 15–90°:
20.59°, intensity 100; 24.34°, intensity 93; 24.90°, intensity 51; 27.32°, intensity 93; 30.57°, intensity 41; 35.90°, intensity 39

Cell and atoms:
Cell lengths 8.672, 5.001, 15.809 Å; angles 90.00, 112.27, 90.00 degrees
Space group P2_1/c (No. 14)
Unique sites:
Cr (0.000, 0.000, 0.000) x2
Cr (0.278, 0.066, 0.630) x4
As (0.070, 0.067, 0.396) x4
As (0.458, 0.067, 0.854) x4
O (0.009, 0.245, 0.103) x4
O (0.113, 0.737, 0.101) x4
O (0.151, 0.123, 0.320) x4
O (0.189, 0.220, 0.505) x4
O (0.295, 0.007, 0.749) x4
O (0.384, 0.098, 0.165) x4
O (0.393, 0.547, 0.437) x4
O (0.464, 0.603, 0.125) x4

---

Copy entry 3 word for word.
For K2Na2Mo3WO12, a crystal structure in the Materials Project, relaxed with PBE+U gives the theoretical X-ray diffraction stick pattern in this record (Cu Ka).
No peak broadening, texture or thermal motion is included.

Largest 6 diffraction maxima, in order of rising 2θ, 2θ = 15–90°:
22.16°, intensity 74; 22.47°, intensity 35; 31.54°, intensity 51; 31.77°, intensity 100; 45.21°, intensity 39; 56.31°, intensity 39

Cell and atoms:
Cell lengths 8.023, 8.023, 7.913 Å; angles 90.00, 90.00, 90.00 degrees
Space group P4/mmm (No. 123)
Unique sites:
K (0.248, 0.248, 0.000) x4
Na (0.248, 0.248, 0.500) x4
Mo (0.000, 0.000, 0.253) x2
Mo (0.000, 0.500, 0.252) x4
W (0.500, 0.500, 0.253) x2
O (0.000, 0.000, 0.000) x1
O (0.000, 0.000, 0.500) x1
O (0.000, 0.244, 0.255) x8
O (0.000, 0.500, 0.000) x2
O (0.000, 0.500, 0.500) x2
O (0.259, 0.500, 0.255) x8
O (0.500, 0.500, 0.000) x1
O (0.500, 0.500, 0.500) x1

---

Repeat the second record exactly.
For Li9Mn2Co5O16, a crystal structure in the Materials Project, relaxed with PBE+U gives the theoretical X-ray diffraction stick pattern in this record (Cu Ka).
No peak broadening, texture or thermal motion is included.

Largest 6 diffraction maxima, in order of rising 2θ, 2θ = 15–90°:
18.26°, intensity 100; 36.08°, intensity 26; 43.17°, intensity 28; 43.69°, intensity 54; 62.67°, intensity 15; 63.54°, intensity 14

Cell and atoms:
Cell lengths 5.888, 5.832, 8.384 Å; angles 90.00, 91.01, 90.00 degrees
Space group P2/m (No. 10)
Unique sites:
Li (0.000, 0.000, 0.000) x1
Li (0.000, 0.000, 0.500) x1
Li (0.000, 0.500, 0.000) x1
Li (0.250, 0.244, 0.258) x4
Li (0.500, 0.000, 0.500) x1
Li (0.500, 0.500, 0.500) x1
Mn (0.000, 0.500, 0.500) x1
Mn (0.500, 0.500, 0.000) x1
Co (0.244, 0.243, 0.742) x4
Co (0.500, 0.000, 0.000) x1
O (0.002, 0.500, 0.733) x2
O (0.025, 0.000, 0.760) x2
O (0.237, 0.267, 0.508) x4
O (0.273, 0.259, 0.998) x4
O (0.476, 0.500, 0.768) x2
O (0.491, 0.000, 0.754) x2